(1)
Computed powder XRD pattern of Cs3MnCl7 for CuKα, from DFT lattice parameters and positions (GGA-PBE).

a = 10.0855 Å, b = 10.0855 Å, c = 7.2964 Å
α = 90.00°, β = 90.00°, γ = 90.00°
Fractional positions:
Cs 0.0000 0.0000 0.0000
Cs 0.1809 0.3191 0.5000
Cs 0.3191 0.8191 0.5000
Cs 0.5000 0.5000 0.0000
Cs 0.6809 0.1809 0.5000
Cs 0.8191 0.6809 0.5000
Mn 0.0000 0.5000 0.0000
Mn 0.5000 0.0000 0.0000
Cl 0.0000 0.0000 0.5000
Cl 0.1132 0.6132 0.2226
Cl 0.1132 0.6132 0.7774
Cl 0.1607 0.3393 0.0000
Cl 0.3393 0.8393 0.0000
Cl 0.3868 0.1132 0.2226
Cl 0.3868 0.1132 0.7774
Cl 0.5000 0.5000 0.5000
Cl 0.6132 0.8868 0.2226
Cl 0.6132 0.8868 0.7774
Cl 0.6607 0.1607 0.0000
Cl 0.8393 0.6607 0.0000
Cl 0.8868 0.3868 0.2226
Cl 0.8868 0.3868 0.7774

Most intense lines, 2θ = 10–90°, low angle first:
d_spacing	I_rel
4.510	285
4.148	1000
3.837	384
3.648	385
3.566	511
3.189	616
2.836	951
2.550	391
2.446	280
2.257	243



(2)
Computed powder XRD pattern of CsDyReO6 for CuKα, from DFT lattice parameters and positions (GGA-PBE).

a = 5.8468 Å, b = 5.8468 Å, c = 6.2808 Å
α = 90.05°, β = 90.05°, γ = 120.87°
Fractional positions:
Cs 0.0000 0.0000 0.0000
Dy 0.3190 0.6810 0.5000
Re 0.6789 0.3211 0.5000
O 0.4141 0.3786 0.3563
O 0.4394 0.0481 0.6837
O 0.6057 0.0482 0.3116
O 0.6214 0.5859 0.6437
O 0.9518 0.3943 0.6884
O 0.9519 0.5606 0.3163

Most intense lines, 2θ = 10–90°, low angle first:
d_spacing	I_rel
6.281	597
3.952	728
3.921	1000
3.140	285
2.923	496
2.885	241
2.330	309
2.139	513
2.125	285
1.835	245



(3)
Computed powder XRD pattern of Ce4Ge8Pt for CuKα, from DFT lattice parameters and positions (GGA-PBE).

a = 4.0900 Å, b = 4.2080 Å, c = 16.5964 Å
α = 90.00°, β = 90.00°, γ = 90.00°
Fractional positions:
Ce 0.0000 0.0000 0.0000
Ce 0.0000 0.5000 0.4875
Ce 0.5000 0.0000 0.7876
Ce 0.5000 0.5000 0.2791
Ge 0.0000 0.0000 0.3304
Ge 0.0000 0.0000 0.6207
Ge 0.0000 0.5000 0.1392
Ge 0.0000 0.5000 0.8561
Ge 0.5000 0.0000 0.1408
Ge 0.5000 0.0000 0.4292
Ge 0.5000 0.5000 0.6186
Ge 0.5000 0.5000 0.9507
Pt 0.0000 0.5000 0.7069

Most intense lines, 2θ = 10–90°, low angle first:
d_spacing	I_rel
2.888	136
2.766	132
2.606	265
2.591	1000
2.291	217
2.104	248
2.045	227
1.609	123
1.550	140
1.466	154



(4)
Computed powder XRD pattern of Sr3Sn2Pb3 for CuKα, from DFT lattice parameters and positions (GGA-PBE).

a = 7.9060 Å, b = 7.9060 Å, c = 14.8516 Å
α = 90.00°, β = 90.00°, γ = 142.42°
Fractional positions:
Sr 0.0375 0.9625 0.7500
Sr 0.1339 0.8661 0.0045
Sr 0.1339 0.8661 0.4955
Sr 0.8661 0.1339 0.5045
Sr 0.8661 0.1339 0.9955
Sr 0.9625 0.0375 0.2500
Sn 0.3131 0.6869 0.1489
Sn 0.3131 0.6869 0.3511
Sn 0.6869 0.3131 0.6489
Sn 0.6869 0.3131 0.8511
Pb 0.2908 0.7092 0.7500
Pb 0.4852 0.5148 0.6060
Pb 0.4852 0.5148 0.8940
Pb 0.5148 0.4852 0.1060
Pb 0.5148 0.4852 0.3940
Pb 0.7092 0.2908 0.2500

Most intense lines, 2θ = 10–90°, low angle first:
d_spacing	I_rel
5.271	286
4.822	560
3.455	322
3.213	950
2.985	311
2.942	1000
2.581	706
2.546	831
2.529	332
1.371	278



(5)
Computed powder XRD pattern of Pm8CuIr3Br4 for CuKα, from DFT lattice parameters and positions (GGA-PBE).

a = 9.0981 Å, b = 9.0981 Å, c = 9.0981 Å
α = 54.20°, β = 54.20°, γ = 54.20°
Fractional positions:
Pm 0.2250 0.7352 0.7352
Pm 0.2322 0.2322 0.2322
Pm 0.2648 0.2648 0.7750
Pm 0.2648 0.7750 0.2648
Pm 0.7352 0.2250 0.7352
Pm 0.7352 0.7352 0.2250
Pm 0.7678 0.7678 0.7678
Pm 0.7750 0.2648 0.2648
Cu 0.5000 0.5000 0.5000
Ir 0.0000 0.0000 0.5000
Ir 0.0000 0.5000 0.0000
Ir 0.5000 0.0000 0.0000
Br 0.0000 0.0000 0.0000
Br 0.0000 0.5000 0.5000
Br 0.5000 0.0000 0.5000
Br 0.5000 0.5000 0.0000

Most intense lines, 2θ = 10–90°, low angle first:
d_spacing	I_rel
7.738	342
3.053	1000
2.436	174
2.257	301
2.072	375
1.819	113
1.714	185
1.526	87
1.321	154
1.229	85



(6)
Computed powder XRD pattern of ZrMn6 for CuKα, from DFT lattice parameters and positions (GGA-PBE).

a = 7.8319 Å, b = 4.6966 Å, c = 9.7366 Å
α = 90.00°, β = 90.00°, γ = 90.00°
Fractional positions:
Zr 0.2480 0.2500 0.0618
Zr 0.2520 0.7500 0.5618
Zr 0.7480 0.2500 0.4382
Zr 0.7520 0.7500 0.9382
Mn 0.0563 0.7500 0.0820
Mn 0.0744 0.0130 0.3067
Mn 0.0744 0.4870 0.3067
Mn 0.0890 0.2500 0.5249
Mn 0.1364 0.7500 0.8521
Mn 0.1874 0.2500 0.7570
Mn 0.3126 0.7500 0.2570
Mn 0.3636 0.2500 0.3521
Mn 0.4110 0.7500 0.0249
Mn 0.4256 0.5130 0.8067
Mn 0.4256 0.9870 0.8067
Mn 0.4437 0.2500 0.5820
Mn 0.5563 0.7500 0.4180
Mn 0.5744 0.0130 0.1933
Mn 0.5744 0.4870 0.1933
Mn 0.5890 0.2500 0.9751
Mn 0.6364 0.7500 0.6479
Mn 0.6874 0.2500 0.7430
Mn 0.8126 0.7500 0.2430
Mn 0.8636 0.2500 0.1479
Mn 0.9110 0.7500 0.4751
Mn 0.9256 0.5130 0.6933
Mn 0.9256 0.9870 0.6933
Mn 0.9437 0.2500 0.9180

Most intense lines, 2θ = 10–90°, low angle first:
d_spacing	I_rel
2.348	299
2.324	595
2.222	1000
2.206	780
2.115	260
2.014	169
1.972	390
1.920	256
1.891	500
1.849	345